The following is a theoretical X-ray diffraction stick pattern of Ac4GeIr2. It was derived from a PBE-relaxed structure, using Cu Kα (weighted mean of Kα1 and Kα2).

Atomic structure:
```
data_Ac4GeIr2
_chemical_formula_sum 'Ac16 Ge4 Ir8'
_space_group_name_H-M_alt 'P n m a'
_space_group_IT_number 62
_space_group_name_Hall '-P 2ac 2n'
_cell_length_a 13.109
_cell_length_b 4.469
_cell_length_c 15.507
_cell_angle_alpha 90.00
_cell_angle_beta 90.00
_cell_angle_gamma 90.00
loop_
_atom_site_label
_atom_site_type_symbol
_atom_site_fract_x
_atom_site_fract_y
_atom_site_fract_z
Ac1 Ac 0.020 0.250 0.213
Ac2 Ac 0.082 0.750 0.422
Ac3 Ac 0.135 0.250 0.972
Ac4 Ac 0.215 0.250 0.677
Ge1 Ge 0.248 0.750 0.835
Ir1 Ir 0.074 0.750 0.612
Ir2 Ir 0.078 0.750 0.098
```

Largest 10 diffraction maxima, sorted by position, 10° ≤ 2θ ≤ 90°:
24.8 deg, 3.592 Å, I 50
26.4 deg, 3.381 Å, I 60
27.2 deg, 3.274 Å, I 80
29.2 deg, 3.063 Å, I 80
29.6 deg, 3.019 Å, I 100
33.5 deg, 2.674 Å, I 91
33.9 deg, 2.643 Å, I 63
40.4 deg, 2.235 Å, I 82
42.7 deg, 2.117 Å, I 57
47.8 deg, 1.903 Å, I 51



The following is a theoretical X-ray diffraction stick pattern of DyHo7Ru2. It was derived from a PBE-relaxed structure, using Cu Kα (weighted mean of Kα1 and Kα2).

Atomic structure:
```
data_DyHo7Ru2
_chemical_formula_sum 'Dy2 Ho14 Ru4'
_space_group_name_H-M_alt 'C m m m'
_space_group_IT_number 65
_space_group_name_Hall '-C 2 2'
_cell_length_a 8.699
_cell_length_b 13.726
_cell_length_c 5.355
_cell_angle_alpha 90.00
_cell_angle_beta 90.00
_cell_angle_gamma 90.00
loop_
_atom_site_label
_atom_site_type_symbol
_atom_site_fract_x
_atom_site_fract_y
_atom_site_fract_z
Dy1 Dy 0.000 0.000 0.000
Ho1 Ho 0.000 0.294 0.000
Ho2 Ho 0.000 0.500 0.500
Ho3 Ho 0.192 0.134 0.500
Ru1 Ru 0.000 0.296 0.500
```

Largest 10 diffraction maxima, sorted by position, 10° ≤ 2θ ≤ 90°:
16.6 deg, 5.355 Å, I 70
26.4 deg, 3.376 Å, I 57
27.6 deg, 3.230 Å, I 100
31.0 deg, 2.889 Å, I 51
33.3 deg, 2.694 Å, I 93
33.5 deg, 2.678 Å, I 98
35.8 deg, 2.507 Å, I 66
36.7 deg, 2.449 Å, I 51
47.9 deg, 1.899 Å, I 67
59.4 deg, 1.555 Å, I 78



The following is a theoretical X-ray diffraction stick pattern of PrSn2Pd10. It was derived from a PBE-relaxed structure, using Cu Kα (weighted mean of Kα1 and Kα2).

Atomic structure:
```
data_PrSn2Pd10
_chemical_formula_sum 'Pr4 Sn8 Pd40'
_space_group_name_H-M_alt 'F m m m'
_space_group_IT_number 69
_space_group_name_Hall '-F 2 2'
_cell_length_a 5.682
_cell_length_b 12.608
_cell_length_c 13.059
_cell_angle_alpha 90.00
_cell_angle_beta 90.00
_cell_angle_gamma 90.00
loop_
_atom_site_label
_atom_site_type_symbol
_atom_site_fract_x
_atom_site_fract_y
_atom_site_fract_z
Pr1 Pr 0.000 0.000 0.000
Sn1 Sn 0.250 0.000 0.250
Pd1 Pd 0.000 0.111 0.389
Pd2 Pd 0.000 0.171 0.171
Pd3 Pd 0.250 0.250 0.000
```

Largest 10 diffraction maxima, sorted by position, 10° ≤ 2θ ≤ 90°:
31.5 deg, 2.841 Å, I 18
33.6 deg, 2.669 Å, I 39
37.4 deg, 2.408 Å, I 74
38.6 deg, 2.332 Å, I 41
39.7 deg, 2.268 Å, I 100
42.2 deg, 2.143 Å, I 38
42.9 deg, 2.110 Å, I 37
65.7 deg, 1.420 Å, I 16
70.6 deg, 1.334 Å, I 38
79.6 deg, 1.204 Å, I 16



The following is a theoretical X-ray diffraction stick pattern of Sm2YEr2Tm. It was derived from a PBE-relaxed structure, using Cu Kα (weighted mean of Kα1 and Kα2).

Atomic structure:
```
data_Sm2YEr2Tm
_chemical_formula_sum 'Sm4 Y2 Er4 Tm2'
_space_group_name_H-M_alt 'P m m a'
_space_group_IT_number 51
_space_group_name_Hall '-P 2a 2a'
_cell_length_a 6.976
_cell_length_b 5.613
_cell_length_c 9.719
_cell_angle_alpha 90.00
_cell_angle_beta 90.00
_cell_angle_gamma 90.00
loop_
_atom_site_label
_atom_site_type_symbol
_atom_site_fract_x
_atom_site_fract_y
_atom_site_fract_z
Sm1 Sm 0.000 0.000 0.000
Sm2 Sm 0.250 0.500 0.173
Y1 Y 0.000 0.500 0.500
Er1 Er 0.250 0.000 0.331
Er2 Er 0.250 0.500 0.836
Tm1 Tm 0.250 0.000 0.661
```

Largest 10 diffraction maxima, sorted by position, 10° ≤ 2θ ≤ 90°:
25.5 deg, 3.488 Å, I 12
31.6 deg, 2.834 Å, I 83
31.9 deg, 2.806 Å, I 100
41.3 deg, 2.186 Å, I 21
45.5 deg, 1.994 Å, I 30
56.6 deg, 1.625 Å, I 31
56.8 deg, 1.620 Å, I 19
62.7 deg, 1.481 Å, I 29
75.6 deg, 1.257 Å, I 13
81.0 deg, 1.187 Å, I 14